No. 1
Simulated X-ray powder pattern
Compound: Ca2AlW
Radiation: Cu Kα, 1.54184 Å
Structure: a crystal structure in Alexandria, relaxed with GGA-PBE
Intensities are scaled so that the largest is 100.

Top 12 peaks for 5° ≤ 2θ ≤ 70°, by angle:
d (Å), I_rel, index
8.368, 100, 0 0 1
4.184, 13, 0 0 2
3.758, 13, 0 1 0
3.428, 18, 0 1 1
3.015, 13, 1 0 1
2.794, 39, 0 1 2
2.558, 21, 1 0 2
2.451, 31, 1 1 0
2.352, 19, 1 1 1
2.240, 15, 0 1 3
2.113, 22, 1 0 3
1.841, 14, 1 1 3

Lattice parameters (Å, degrees): 3.233 3.758 8.368 90.00 90.00 90.00
Space group Pmm2 (No. 25)
Inequivalent atoms, fractional coordinates:
Ca 0.000 0.000 0.000 (multiplicity 1)
Ca 0.500 0.500 0.384 (multiplicity 1)
Al 0.500 0.500 0.747 (multiplicity 1)
W 0.000 0.000 0.633 (multiplicity 1)

=====

No. 2
Simulated X-ray powder pattern
Compound: CaAlZn17
Radiation: Cu Kα, 1.54184 Å
Structure: a crystal structure in Alexandria, relaxed with GGA-PBE
Intensities are scaled so that the largest is 100.

Top 12 peaks for 5° ≤ 2θ ≤ 70°, by angle:
d (Å), I_rel, index
6.709, 13, 1 0 1
4.458, 28, 1 1 0
2.574, 25, 3 0 0
2.546, 19, 0 2 4
2.258, 30, 0 0 6
2.236, 80, 0 3 3
2.229, 45, 2 2 0
2.218, 13, 2 0 5
2.015, 40, 1 1 6
1.999, 100, 2 2 3
1.412, 14, 3 3 3
1.351, 18, 4 1 6

Lattice parameters (Å, degrees): 8.9163 8.9163 13.5499 90.00 90.00 120.00
Space group R3m (No. 160, hexagonal axes)
Inequivalent atoms, fractional coordinates:
Ca 0.0000 0.0000 0.0000 (multiplicity 3)
Al 0.0000 0.0000 0.2515 (multiplicity 3)
Zn 0.0000 0.0000 0.5636 (multiplicity 3)
Zn 0.0000 0.0000 0.7604 (multiplicity 3)
Zn 0.0271 0.3471 0.3321 (multiplicity 18)
Zn 0.1674 0.3348 0.1499 (multiplicity 9)
Zn 0.1695 0.3391 0.8376 (multiplicity 9)
Zn 0.1706 0.3411 0.5060 (multiplicity 9)

=====

No. 3
Simulated X-ray powder pattern
Compound: Ca2AlZn7
Radiation: Cu Kα, 1.54184 Å
Structure: a crystal structure in Alexandria, relaxed with GGA-PBE
Intensities are scaled so that the largest is 100.

Top 12 peaks for 5° ≤ 2θ ≤ 70°, by angle:
d (Å), I_rel, index
11.204, 9, 0 0 1
5.602, 13, 0 0 2
3.885, 40, 1 0 1
2.774, 46, 1 0 3
2.595, 100, 1 1 2
2.071, 68, 2 0 0
2.024, 62, 1 1 4
1.971, 39, 1 0 5
1.827, 10, 2 1 1
1.659, 18, 2 1 3
1.464, 21, 2 2 0
1.428, 25, 2 1 5

Lattice parameters (Å, degrees): 4.142 4.142 11.204 90.00 90.00 90.00
Space group P-4m2 (No. 115)
Inequivalent atoms, fractional coordinates:
Ca 0.000 0.500 0.249 (multiplicity 2)
Al 0.500 0.500 0.000 (multiplicity 1)
Zn 0.000 0.000 0.000 (multiplicity 1)
Zn 0.000 0.000 0.500 (multiplicity 1)
Zn 0.000 0.500 0.639 (multiplicity 2)
Zn 0.000 0.500 0.862 (multiplicity 2)
Zn 0.500 0.500 0.500 (multiplicity 1)

=====

No. 4
Simulated X-ray powder pattern
Compound: Ca2AlZn3
Radiation: Cu Kα, 1.54184 Å
Structure: a crystal structure in Alexandria, relaxed with GGA-PBE
Intensities are scaled so that the largest is 100.

Top 12 peaks for 5° ≤ 2θ ≤ 70°, by angle:
d (Å), I_rel, index
5.289, 33, 2 0 -1
3.683, 23, 2 0 -2
2.756, 47, 1 1 1
2.724, 24, 3 1 -1
2.700, 79, 0 0 2
2.669, 82, 3 1 -2
2.356, 27, 2 0 -3
2.326, 31, 4 0 -3
2.268, 64, 0 2 0
2.250, 100, 3 1 0
1.903, 28, 1 1 -3
1.431, 22, 7 1 -3

Lattice parameters (Å, degrees): 10.593 4.537 7.367 90.00 132.80 90.00
Space group Cm (No. 8)
Inequivalent atoms, fractional coordinates:
Ca 0.000 0.000 0.000 (multiplicity 2)
Ca 0.097 0.000 0.602 (multiplicity 2)
Al 0.213 0.500 0.404 (multiplicity 2)
Zn 0.211 0.500 0.025 (multiplicity 2)
Zn 0.385 0.000 0.585 (multiplicity 2)
Zn 0.386 0.000 0.194 (multiplicity 2)

=====

No. 5
Simulated X-ray powder pattern
Compound: CaAl2Zn5
Radiation: Cu Kα, 1.54184 Å
Structure: a crystal structure in Alexandria, relaxed with GGA-PBE
Intensities are scaled so that the largest is 100.

Top 12 peaks for 5° ≤ 2θ ≤ 70°, by angle:
d (Å), I_rel, index
5.812, 67, 0 1 1
3.784, 14, 1 0 1
2.610, 97, 1 0 3
2.584, 100, 1 2 1
2.297, 13, 0 3 1
2.068, 87, 0 2 4
2.039, 92, 2 0 0
1.937, 20, 0 3 3
1.824, 21, 1 0 5
1.593, 14, 1 3 4
1.452, 37, 2 2 4
1.404, 13, 2 3 3

Lattice parameters (Å, degrees): 4.075 7.073 10.198 90.00 90.00 90.00
Space group Immm (No. 71)
Inequivalent atoms, fractional coordinates:
Ca 0.000 0.000 0.000 (multiplicity 2)
Al 0.000 0.500 0.248 (multiplicity 4)
Zn 0.000 0.185 0.368 (multiplicity 8)
Zn 0.000 0.500 0.000 (multiplicity 2)

=====

No. 6
Simulated X-ray powder pattern
Compound: Ca2AlZn10
Radiation: Cu Kα, 1.54184 Å
Structure: a crystal structure in Alexandria, relaxed with GGA-PBE
Intensities are scaled so that the largest is 100.

Top 12 peaks for 5° ≤ 2θ ≤ 70°, by angle:
d (Å), I_rel, index
6.136, 24, 0 0 2
4.971, 51, 1 0 0
4.673, 21, 0 1 2
2.703, 19, 0 2 3
2.421, 26, 1 2 2
2.350, 67, 2 1 0
2.237, 60, 1 0 4
2.137, 38, 2 2 -1
2.071, 100, 0 3 3
2.046, 34, 0 0 6
2.035, 30, 2 0 -6
1.782, 25, 0 4 1

Lattice parameters (Å, degrees): 5.437 7.209 13.419 90.00 113.86 90.00
Space group P2_1/c (No. 14)
Inequivalent atoms, fractional coordinates:
Ca 0.100 0.243 0.101 (multiplicity 4)
Al 0.500 0.000 0.500 (multiplicity 2)
Zn 0.087 0.180 0.348 (multiplicity 4)
Zn 0.289 0.611 0.787 (multiplicity 4)
Zn 0.307 0.005 0.806 (multiplicity 4)
Zn 0.389 0.681 0.151 (multiplicity 4)
Zn 0.498 0.662 0.497 (multiplicity 4)

=====

No. 7
Simulated X-ray powder pattern
Compound: Ca3Al4Zn
Radiation: Cu Kα, 1.54184 Å
Structure: a crystal structure in Alexandria, relaxed with GGA-PBE
Intensities are scaled so that the largest is 100.

Top 12 peaks for 5° ≤ 2θ ≤ 70°, by angle:
d (Å), I_rel, index
5.731, 30, 0 2 0
5.106, 29, 1 1 0
4.157, 39, 1 0 1
3.233, 18, 0 3 1
2.866, 30, 0 4 0
2.852, 30, 2 0 0
2.679, 19, 0 2 2
2.607, 28, 1 1 2
2.425, 18, 1 2 2
2.356, 100, 1 4 1
2.139, 17, 2 3 1
1.879, 18, 1 1 3

Lattice parameters (Å, degrees): 5.704 11.463 6.063 90.00 90.00 90.00
Space group Pmmn (No. 59, origin choice 2)
Inequivalent atoms, fractional coordinates:
Ca 0.250 0.006 0.184 (multiplicity 4)
Ca 0.250 0.750 0.542 (multiplicity 2)
Al 0.009 0.750 0.034 (multiplicity 4)
Al 0.250 0.123 0.679 (multiplicity 4)
Zn 0.250 0.250 0.322 (multiplicity 2)

=====

No. 8
Simulated X-ray powder pattern
Compound: CaAl6Zn2
Radiation: Cu Kα, 1.54184 Å
Structure: a crystal structure in Alexandria, relaxed with GGA-PBE
Intensities are scaled so that the largest is 100.

Top 12 peaks for 5° ≤ 2θ ≤ 70°, by angle:
d (Å), I_rel, index
9.752, 47, 0 0 1
4.106, 55, 1 0 0
2.903, 40, 1 1 0
2.783, 59, 1 1 1
2.549, 70, 1 0 3
2.495, 98, 1 1 2
2.165, 81, 1 1 3
2.096, 61, 1 0 4
2.053, 100, 2 0 0
1.599, 31, 2 1 3
1.467, 36, 2 1 4
1.452, 31, 2 2 0

Lattice parameters (Å, degrees): 4.106 4.106 9.752 90.00 90.00 90.00
Space group P4/mmm (No. 123)
Inequivalent atoms, fractional coordinates:
Ca 0.000 0.000 0.000 (multiplicity 1)
Al 0.000 0.000 0.500 (multiplicity 1)
Al 0.000 0.500 0.298 (multiplicity 4)
Al 0.500 0.500 0.500 (multiplicity 1)
Zn 0.500 0.500 0.128 (multiplicity 2)